(1)
This entry pairs a crystal structure of PdAu with its calculated PXRD pattern. Radiation: Cu Kα. Structure: DFT lattice parameters and positions (PBE).

Main lines, by angle (5° ≤ 2θ ≤ 70°):
2θ (°)  intensity
19.10  15
36.47  10
38.21  100
38.75  32
44.57  65
48.90  4
59.30  3
59.69  1
64.48  22
65.24  21
67.93  4

Structural model:
a = 2.890 Å, b = 2.890 Å, c = 13.941 Å
α = 90.00°, β = 90.00°, γ = 120.00°
Fractional positions:
Pd  0.000  0.000  0.000
Pd  0.333  0.667  0.667
Pd  0.667  0.333  0.333
Au  0.000  0.000  0.500
Au  0.333  0.667  0.167
Au  0.667  0.333  0.833

---

(2)
This entry pairs a crystal structure of Pm2PdAu with its calculated PXRD pattern. Radiation: Cu Kα. Structure: DFT lattice parameters and positions (PBE).

Main lines, by angle (5° ≤ 2θ ≤ 70°):
2θ (°)  intensity
21.08  5
34.75  100
41.00  3
49.97  18
54.81  1
62.30  37
66.55  1

Structural model:
a = 7.301 Å, b = 7.301 Å, c = 7.301 Å
α = 90.00°, β = 90.00°, γ = 90.00°
Fractional positions:
Pm  0.250  0.250  0.250
Pm  0.250  0.250  0.750
Pm  0.250  0.750  0.250
Pm  0.250  0.750  0.750
Pm  0.750  0.250  0.250
Pm  0.750  0.250  0.750
Pm  0.750  0.750  0.250
Pm  0.750  0.750  0.750
Pd  0.000  0.000  0.000
Pd  0.000  0.500  0.500
Pd  0.500  0.000  0.500
Pd  0.500  0.500  0.000
Au  0.000  0.000  0.500
Au  0.000  0.500  0.000
Au  0.500  0.000  0.000
Au  0.500  0.500  0.500

---

(3)
This entry pairs a crystal structure of Sb8Pd3Au with its calculated PXRD pattern. Radiation: Cu Kα. Structure: DFT lattice parameters and positions (PBE).

Main lines, by angle (5° ≤ 2θ ≤ 70°):
2θ (°)  intensity
26.93  50
30.12  88
30.24  47
32.99  15
33.20  90
38.35  19
38.56  19
45.27  33
45.48  100
49.51  19
51.42  15
51.77  31

Structural model:
a = 6.622 Å, b = 6.622 Å, c = 6.622 Å
α = 89.70°, β = 89.70°, γ = 89.70°
Fractional positions:
Sb  0.117  0.370  0.629
Sb  0.126  0.126  0.126
Sb  0.370  0.629  0.117
Sb  0.371  0.883  0.630
Sb  0.629  0.117  0.370
Sb  0.630  0.371  0.883
Sb  0.874  0.874  0.874
Sb  0.883  0.630  0.371
Pd  0.000  0.000  0.500
Pd  0.000  0.500  0.000
Pd  0.500  0.000  0.000
Au  0.500  0.500  0.500

---

(4)
This entry pairs a crystal structure of Sr2PdAu with its calculated PXRD pattern. Radiation: Cu Kα. Structure: DFT lattice parameters and positions (PBE).

Main lines, by angle (5° ≤ 2θ ≤ 70°):
2θ (°)  intensity
20.14  7
23.29  9
33.18  100
39.12  5
40.93  3
47.63  18
52.21  2
53.67  4
59.27  38
63.27  2
69.64  12

Structural model:
a = 7.637 Å, b = 7.637 Å, c = 7.637 Å
α = 90.00°, β = 90.00°, γ = 90.00°
Fractional positions:
Sr  0.250  0.250  0.250
Sr  0.250  0.250  0.750
Sr  0.250  0.750  0.250
Sr  0.250  0.750  0.750
Sr  0.750  0.250  0.250
Sr  0.750  0.250  0.750
Sr  0.750  0.750  0.250
Sr  0.750  0.750  0.750
Pd  0.000  0.000  0.000
Pd  0.000  0.500  0.500
Pd  0.500  0.000  0.500
Pd  0.500  0.500  0.000
Au  0.000  0.000  0.500
Au  0.000  0.500  0.000
Au  0.500  0.000  0.000
Au  0.500  0.500  0.500